No. 1
# HfTiZn2
Computed XRD peak list, Cu Kα (λ = 1.5418 Å). Input: a structure optimized by DFT (GGA-PBE).
Kinematic intensities with the Lorentz-polarization factor, no thermal factor.

Structural model:
Cell: 4.569 4.569 4.569 Å, 60.00 60.00 60.00°
Sites, in units of the cell vectors:
Hf 0.000 0.000 0.000
Ti 0.500 0.500 0.500
Zn 0.250 0.250 0.250
Zn 0.750 0.750 0.750

Largest 10 diffraction maxima, low angle first, 2θ = 15–90°:
d (Å)	I_rel
3.731	29
3.231	6
2.285	100
1.948	16
1.616	17
1.482	7
1.319	33
1.244	5
1.142	10
1.092	6



No. 2
# Hf2Tl
Computed XRD peak list, Cu Kα (λ = 1.5418 Å). Input: a structure optimized by DFT (GGA-PBE).
Kinematic intensities with the Lorentz-polarization factor, no thermal factor.

Structural model:
Cell: 5.968 5.968 5.968 Å, 145.51 145.51 49.58°
Sites, in units of the cell vectors:
Hf 0.167 0.167 0.000
Hf 0.833 0.833 0.000
Tl 0.500 0.500 0.000

Largest 10 diffraction maxima, low angle first, 2θ = 15–90°:
d (Å)	I_rel
2.528	100
2.502	49
1.806	9
1.770	17
1.465	19
1.450	36
1.264	12
1.140	9
1.121	8
1.119	8



No. 3
# HfTl3
Computed XRD peak list, Cu Kα (λ = 1.5418 Å). Input: a structure optimized by DFT (GGA-PBE).
Kinematic intensities with the Lorentz-polarization factor, no thermal factor.

Structural model:
Cell: 5.953 5.953 5.953 Å, 136.16 136.16 63.73°
Sites, in units of the cell vectors:
Hf 0.000 0.000 0.000
Tl 0.250 0.750 0.500
Tl 0.500 0.500 0.000
Tl 0.750 0.250 0.500

Largest 10 diffraction maxima, low angle first, 2θ = 15–90°:
d (Å)	I_rel
2.669	100
2.528	22
2.222	30
1.669	25
1.571	10
1.485	17
1.354	25
1.335	12
1.111	4
1.099	7